Entry 1:
# TlS3
Computed X-ray powder pattern, CuKα. Input: a structure optimized by DFT (PBE).

Structure:
a = 7.7162 Å, b = 7.7162 Å, c = 3.5334 Å
α = 90.00°, β = 90.00°, γ = 120.00°
Space group P6_3/mmc (No. 194)
Asymmetric unit:
Tl  0.3333  0.6667  0.2500 [2 per cell]
S  0.1356  0.2711  0.7500 [6 per cell]

Top 8 peaks for 5 to 70 degrees two-theta, by angle:
two_theta	I_rel
13.25	29
23.05	85
26.68	39
28.58	78
35.54	28
37.03	100
44.07	34
56.03	35

***

Entry 2:
# WBr6N2
Computed X-ray powder pattern, CuKα. Input: a structure optimized by DFT (PBE).

Structure:
a = 10.6136 Å, b = 10.6136 Å, c = 10.6136 Å
α = 90.00°, β = 90.00°, γ = 90.00°
Space group Fm-3m (No. 225)
Asymmetric unit:
W  0.0000  0.0000  0.0000 [4 per cell]
Br  0.0000  0.0000  0.2333 [24 per cell]
N  0.2500  0.2500  0.2500 [8 per cell]

Top 8 peaks for 5 to 70 degrees two-theta, by angle:
two_theta	I_rel
14.45	98
16.71	100
27.88	31
29.15	38
33.78	83
37.91	48
44.35	29
48.52	55

***

Entry 3:
# YBi12O20
Computed X-ray powder pattern, CuKα. Input: a structure optimized by DFT (PBE).

Structure:
a = 10.3587 Å, b = 10.3587 Å, c = 10.3587 Å
α = 90.00°, β = 90.00°, γ = 90.00°
Space group I23 (No. 197)
Asymmetric unit:
Y  0.0000  0.0000  0.0000 [2 per cell]
Bi  0.0069  0.1760  0.3182 [24 per cell]
O  0.0092  0.3690  0.7445 [24 per cell]
O  0.1221  0.1221  0.8779 [8 per cell]
O  0.1759  0.1759  0.1759 [8 per cell]

Top 8 peaks for 5 to 70 degrees two-theta, by angle:
two_theta	I_rel
24.30	21
27.22	100
29.88	22
32.34	66
51.44	44
53.04	20
54.62	29
60.63	21

***

Entry 4:
# Sm2EuSe4
Computed X-ray powder pattern, CuKα. Input: a structure optimized by DFT (PBE).

Structure:
a = 8.9472 Å, b = 8.9472 Å, c = 8.9019 Å
α = 90.00°, β = 90.00°, γ = 90.00°
Space group I-42d (No. 122)
Asymmetric unit:
Sm  0.1259  0.7500  0.1250 [8 per cell]
Eu  0.0000  0.0000  0.5000 [4 per cell]
Se  0.0764  0.6728  0.4447 [16 per cell]

Top 8 peaks for 5 to 70 degrees two-theta, by angle:
two_theta	I_rel
24.41	45
31.63	100
31.77	51
37.65	69
37.74	30
45.35	25
47.76	25
64.20	32

***

Entry 5:
# Na3BrCl2
Computed X-ray powder pattern, CuKα. Input: a structure optimized by DFT (PBE).

Structure:
a = 4.1137 Å, b = 4.1137 Å, c = 10.0845 Å
α = 90.00°, β = 90.00°, γ = 120.00°
Space group P-3m1 (No. 164)
Asymmetric unit:
Na  0.0000  0.0000  0.0000 [1 per cell]
Na  0.3333  0.6667  0.6754 [2 per cell]
Br  0.0000  0.0000  0.5000 [1 per cell]
Cl  0.3333  0.6667  0.1634 [2 per cell]

Top 8 peaks for 5 to 70 degrees two-theta, by angle:
two_theta	I_rel
8.77	17
24.99	6
26.53	31
30.73	100
44.01	67
52.13	11
54.64	23
64.00	10

***

Entry 6:
# KCaMg14
Computed X-ray powder pattern, CuKα. Input: a structure optimized by DFT (PBE).

Structure:
a = 10.7760 Å, b = 6.6182 Å, c = 11.5014 Å
α = 90.00°, β = 90.00°, γ = 90.00°
Space group Amm2 (No. 38)
Asymmetric unit:
K  0.0000  0.0000  0.0000 [2 per cell]
Ca  0.0000  0.0000  0.4979 [2 per cell]
Mg  0.0000  0.2482  0.7517 [4 per cell]
Mg  0.2531  0.0000  0.6699 [4 per cell]
Mg  0.2591  0.0000  0.1731 [4 per cell]
Mg  0.2676  0.2457  0.4132 [8 per cell]
Mg  0.5000  0.0000  0.0008 [2 per cell]
Mg  0.5000  0.0000  0.5010 [2 per cell]
Mg  0.5000  0.2497  0.2501 [4 per cell]

Top 8 peaks for 5 to 70 degrees two-theta, by angle:
two_theta	I_rel
31.16	25
33.26	26
35.43	100
46.21	15
55.39	11
60.84	17
66.16	12
67.60	9

***

Entry 7:
# Cs6GaSb3
Computed X-ray powder pattern, CuKα. Input: a structure optimized by DFT (PBE).

Structure:
a = 11.2280 Å, b = 6.5883 Å, c = 13.0027 Å
α = 90.00°, β = 101.34°, γ = 90.00°
Space group P2_1/m (No. 11)
Asymmetric unit:
Cs  0.0410  0.2500  0.0784 [2 per cell]
Cs  0.0607  0.2500  0.4554 [2 per cell]
Cs  0.2431  0.7500  0.7735 [2 per cell]
Cs  0.3628  0.2500  0.9776 [2 per cell]
Cs  0.3725  0.2500  0.3210 [2 per cell]
Cs  0.4159  0.2500  0.6314 [2 per cell]
Ga  0.1775  0.7500  0.2794 [2 per cell]
Sb  0.0637  0.2500  0.7692 [2 per cell]
Sb  0.2846  0.7500  0.4828 [2 per cell]
Sb  0.3107  0.7500  0.1253 [2 per cell]

Top 8 peaks for 5 to 70 degrees two-theta, by angle:
two_theta	I_rel
23.85	16
27.07	46
27.47	100
27.83	44
36.38	11
48.07	21
50.40	11
50.97	17